The following is a calculated X-ray powder pattern of Li2BeVF6. It was derived from a PBE+U-relaxed structure, using Cu Kα.
Neutral-atom scattering factors, no anomalous dispersion.

The 12 most intense peaks (2θ from 10° to 90°), low angle first:
d [Å]	2θ (°)	I/Imax
4.487	19.8	10
4.124	21.5	22
3.643	24.4	82
2.658	33.7	21
2.287	39.4	16
2.185	41.3	100
2.139	42.3	18
1.821	50.1	17
1.671	55.0	33
1.668	55.1	10
1.626	56.6	13
1.445	64.5	16

Cell and atoms:
a b c (Å): 4.9984 5.0042 5.3313
angles (deg): 90.09 117.86 119.94
Space group P1 (No. 1)
One atom of each set of equivalent atoms:
Li 0.0000 0.0000 0.0000
Li 0.0060 0.5030 0.5083
Be 0.4199 0.7089 0.1283
V 0.4159 0.2076 0.6232
F 0.2503 0.9104 0.8665
F 0.2670 0.7978 0.3299
F 0.5277 0.6166 0.8673
F 0.5324 0.4682 0.3298
F 0.8622 0.0635 0.3296
F 0.9566 0.3396 0.8668